Entry 1:
This entry pairs a crystal structure of Na5ScH4C4O14 with its theoretical PXRD pattern. Radiation: Cu Kα. Structure: a DFT-relaxed cell (GGA-PBE, the Materials Project).
Neutral-atom scattering factors, no anomalous dispersion.

Cell and atoms:
```
data_Na5ScH4C4O14
_symmetry_space_group_name_H-M 'P -4 21 c'
_symmetry_Int_Tables_number 114
_cell_length_a 7.566
_cell_length_b 7.566
_cell_length_c 11.631
_cell_angle_alpha 90.00
_cell_angle_beta 90.00
_cell_angle_gamma 90.00
loop_
_symmetry_equiv_pos_as_xyz
'x,y,z'
'y,-x,-z'
'-x,-y,z'
'-y,x,-z'
'x+1/2,-y+1/2,-z+1/2'
'y+1/2,x+1/2,z+1/2'
'-x+1/2,y+1/2,-z+1/2'
'-y+1/2,-x+1/2,z+1/2'
loop_
_atom_site_label
_atom_site_fract_x
_atom_site_fract_y
_atom_site_fract_z
Na1 0.000 0.000 0.000
Na2 0.180 0.319 0.709
Sc1 0.000 0.000 0.500
H1 0.060 0.585 0.385
C1 0.177 0.720 0.577
O1 0.000 0.500 0.333
O2 0.093 0.769 0.116
O3 0.093 0.831 0.645
O4 0.158 0.753 0.466
```

Top 12 peaks for 2θ from 10° to 90°, by angle:
2θ = 14.0°, intensity 46
2θ = 22.6°, intensity 59
2θ = 30.6°, intensity 100
2θ = 33.5°, intensity 24
2θ = 37.0°, intensity 15
2θ = 40.8°, intensity 12
2θ = 40.9°, intensity 15
2θ = 46.1°, intensity 15
2θ = 49.3°, intensity 28
2θ = 50.0°, intensity 19
2θ = 52.3°, intensity 13
2θ = 53.8°, intensity 12

Entry 2:
This entry pairs a crystal structure of Na2U2ZnH8C12O28 with its theoretical PXRD pattern. Radiation: Cu Kα. Structure: a DFT-relaxed cell (GGA-PBE, the Materials Project).
Neutral-atom scattering factors, no anomalous dispersion.

Cell and atoms:
```
data_Na2U2ZnH8C12O28
_symmetry_space_group_name_H-M 'P -1'
_symmetry_Int_Tables_number 2
_cell_length_a 6.537
_cell_length_b 7.986
_cell_length_c 13.057
_cell_angle_alpha 75.80
_cell_angle_beta 84.52
_cell_angle_gamma 67.40
loop_
_symmetry_equiv_pos_as_xyz
'x,y,z'
'-x,-y,-z'
loop_
_atom_site_label
_atom_site_fract_x
_atom_site_fract_y
_atom_site_fract_z
Na1 0.250 0.165 0.208
U1 0.238 0.663 0.196
Zn1 0.500 0.000 0.500
H1 0.083 0.142 0.426
H2 0.195 0.939 0.401
H3 0.248 0.019 0.682
H4 0.351 0.808 0.672
C1 0.026 0.067 0.025
C2 0.198 0.612 0.454
C3 0.216 0.453 0.781
C4 0.303 0.410 0.437
C5 0.309 0.249 0.775
C6 0.476 0.411 0.021
O1 0.008 0.528 0.791
O2 0.017 0.769 0.029
O3 0.111 0.000 0.117
O4 0.141 0.644 0.542
O5 0.169 0.177 0.767
O6 0.181 0.736 0.366
O7 0.220 0.055 0.399
O8 0.298 0.937 0.631
O9 0.320 0.399 0.340
O10 0.355 0.530 0.776
O11 0.364 0.275 0.516
O12 0.370 0.402 0.108
O13 0.457 0.711 0.033
O14 0.482 0.832 0.224
```

Top 12 peaks for 2θ from 10° to 90°, by angle:
2θ = 12.3°, intensity 16
2θ = 12.7°, intensity 21
2θ = 14.0°, intensity 20
2θ = 15.2°, intensity 17
2θ = 15.5°, intensity 100
2θ = 16.3°, intensity 77
2θ = 16.4°, intensity 46
2θ = 21.1°, intensity 24
2θ = 23.6°, intensity 19
2θ = 32.9°, intensity 27
2θ = 34.1°, intensity 18
2θ = 35.4°, intensity 16